Starting from a structure optimized by DFT (GGA-PBE), the PXRD pattern of LaNd4Ir4 was calculated for λ = 1.5418 Å (Cu Kα).

Principal peaks in the range 2θ = 10–80°, low angle first:
2θ 31.00, I 100; 2θ 32.18, I 47; 2θ 37.89, I 32; 2θ 42.94, I 29; 2θ 44.42, I 30; 2θ 47.55, I 33

a = 9.1216 Å, b = 9.1216 Å, c = 5.8407 Å
α = 90.00°, β = 90.00°, γ = 90.00°
Space group P4_2/n (No. 86, origin choice 2)
One atom of each set of equivalent atoms:
La: 0.2500 0.2500 0.2500 x2
Nd: 0.0743 0.6612 0.1426 x8
Ir: 0.0288 0.6192 0.6392 x8